The following is a simulated X-ray powder pattern of Rb3Br2Cl. It was derived from DFT lattice parameters and positions (GGA-PBE), using Cu Kα (λ = 1.5418 Å).
No peak broadening, texture or thermal motion is included.

Most intense lines, 2θ = 10–80°, sorted by position:
| 2theta | intensity | h k l |
| --- | --- | --- |
| 18.64 | 2 | 1 0 1 |
| 22.26 | 3 | 1 0 3 |
| 25.76 | 100 | 1 1 0 |
| 36.75 | 76 | 2 0 0 |
| 43.39 | 2 | 2 1 3 |
| 45.42 | 27 | 2 0 6 |
| 52.95 | 13 | 2 2 0 |
| 59.79 | 35 | 3 1 0 |
| 66.19 | 26 | 3 1 6 |
| 78.17 | 8 | 4 0 0 |

Cell and atoms:
```
Rb3Br2Cl
1.0
4.892 0.000 0.000
0.000 4.892 0.000
0.000 0.000 20.747
Rb Br Cl
6 4 2
direct
0.000 0.000 0.000
0.000 0.000 0.335
0.000 0.000 0.665
0.500 0.500 0.165
0.500 0.500 0.500
0.500 0.500 0.835
0.000 0.000 0.167
0.000 0.000 0.833
0.500 0.500 0.333
0.500 0.500 0.667
0.000 0.000 0.500
0.500 0.500 0.000
```